(1)
Structure and computed powder diffractogram of Na2CdPt2O6 (a DFT-relaxed cell (GGA-PBE, Alexandria); Cu Kα (weighted mean of Kα1 and Kα2)).
Lines closer than 0.1° are merged.

Structural model:
Cell lengths 5.501, 9.787, 5.760 Å; angles 90.00, 108.62, 90.00 degrees
Space group C2/m (No. 12)
Symmetry-distinct sites (fractional):
Na1 0.000 0.164 0.000 x4
Cd1 0.000 0.000 0.500 x2
Pt1 0.000 0.335 0.500 x4
O1 0.207 0.500 0.699 x4
O2 0.242 0.185 0.697 x8

Largest 10 diffraction maxima, sorted by position, 15° ≤ 2θ ≤ 90°:
| h k l | 2theta | I (rel.) |
| --- | --- | --- |
| 0 0 1 | 16.2 | 100 |
| 1 3 0 | 32.4 | 31 |
| 0 0 2 | 32.8 | 17 |
| 2 0 -1 | 33.0 | 15 |
| 1 3 -1 | 33.8 | 30 |
| 2 0 0 | 34.4 | 14 |
| 1 3 1 | 38.9 | 39 |
| 2 0 -2 | 39.4 | 19 |
| 1 3 -2 | 42.4 | 13 |
| 1 3 -3 | 55.6 | 12 |

***

(2)
Structure and computed powder diffractogram of Ti5Al4In (a DFT-relaxed cell (GGA-PBE, Alexandria); Cu Kα (weighted mean of Kα1 and Kα2)).
Lines closer than 0.1° are merged.

Structural model:
Cell lengths 2.866, 2.866, 20.424 Å; angles 90.00, 90.00, 90.00 degrees
Space group P4/mmm (No. 123)
Symmetry-distinct sites (fractional):
Ti1 0.000 0.000 0.000 x1
Ti2 0.000 0.000 0.196 x2
Ti3 0.000 0.000 0.388 x2
Al1 0.500 0.500 0.098 x2
Al2 0.500 0.500 0.293 x2
In1 0.500 0.500 0.500 x1

Largest 10 diffraction maxima, sorted by position, 15° ≤ 2θ ≤ 90°:
| h k l | 2theta | I (rel.) |
| --- | --- | --- |
| 1 0 3 | 33.9 | 8 |
| 1 0 4 | 35.9 | 9 |
| 1 0 5 | 38.4 | 100 |
| 0 0 10 | 44.4 | 15 |
| 1 1 0 | 44.7 | 33 |
| 1 1 10 | 64.8 | 17 |
| 2 0 0 | 65.1 | 10 |
| 1 0 15 | 77.6 | 8 |
| 2 1 5 | 78.2 | 22 |
| 2 0 10 | 82.2 | 9 |

***

(3)
Structure and computed powder diffractogram of Nd3DyHo7 (a DFT-relaxed cell (GGA-PBE, Alexandria); Cu Kα (weighted mean of Kα1 and Kα2)).
Lines closer than 0.1° are merged.

Structural model:
Cell lengths 7.0577, 7.0577, 8.6731 Å; angles 90.00, 90.00, 120.00 degrees
Space group P3m1 (No. 156)
Symmetry-distinct sites (fractional):
Nd1 0.9999 0.5000 0.0000 x3
Dy1 0.3333 0.6667 0.6608 x1
Ho1 0.1675 0.3350 0.3379 x3
Ho2 0.3350 0.1675 0.6617 x3
Ho3 0.6667 0.3333 0.3390 x1

Largest 10 diffraction maxima, sorted by position, 15° ≤ 2θ ≤ 90°:
| h k l | 2theta | I (rel.) |
| --- | --- | --- |
| 0 2 1 | 31.0 | 100 |
| 2 0 2 | 36.0 | 51 |
| 0 2 4 | 51.7 | 18 |
| 2 2 0 | 51.8 | 18 |
| 2 0 5 | 61.5 | 11 |
| 4 0 1 | 61.6 | 32 |
| 0 4 2 | 64.7 | 9 |
| 2 4 1 | 84.6 | 9 |
| 2 2 6 | 87.2 | 8 |
| 4 2 2 | 87.4 | 8 |

***

(4)
Structure and computed powder diffractogram of Be3VBi (a DFT-relaxed cell (GGA-PBE, Alexandria); Cu Kα (weighted mean of Kα1 and Kα2)).
Lines closer than 0.1° are merged.

Structural model:
Cell lengths 4.407, 4.407, 4.407 Å; angles 90.00, 90.00, 90.00 degrees
Space group Pm-3m (No. 221)
Symmetry-distinct sites (fractional):
Be1 0.000 0.000 0.500 x3
V1 0.000 0.000 0.000 x1
Bi1 0.500 0.500 0.500 x1

Largest 10 diffraction maxima, sorted by position, 15° ≤ 2θ ≤ 90°:
| h k l | 2theta | I (rel.) |
| --- | --- | --- |
| 1 0 0 | 20.2 | 39 |
| 1 1 0 | 28.6 | 100 |
| 1 1 1 | 35.3 | 19 |
| 2 0 0 | 41.0 | 23 |
| 2 1 0 | 46.1 | 21 |
| 2 1 1 | 50.7 | 42 |
| 2 2 0 | 59.3 | 16 |
| 3 0 0 | 63.3 | 11 |
| 3 1 0 | 67.2 | 18 |
| 3 2 1 | 81.8 | 21 |